(1)
Diffraction record for Li6TlZn2. The XRD peak list is calculated, not measured: it uses DFT lattice parameters and positions (GGA-PBE) and copper Kα.

Peak list (10 most intense, 10 to 80 degrees two-theta, low angle first)
d [Å], Position (°2θ), I (rel.)
5.273, 16.81, 250
3.962, 22.44, 1000
3.532, 25.21, 147
2.287, 39.39, 306
2.257, 39.94, 533
1.981, 45.81, 153
1.758, 52.03, 186
1.607, 57.35, 183
1.497, 61.97, 122
1.315, 71.80, 185

a = 5.336 Å, b = 5.336 Å, c = 5.336 Å
α = 95.89°, β = 95.89°, γ = 95.89°
Sites, in units of the cell vectors:
Li1 0.000 0.332 0.668
Li2 0.000 0.668 0.332
Li3 0.332 0.000 0.668
Li4 0.332 0.668 0.000
Li5 0.668 0.000 0.332
Li6 0.668 0.332 0.000
Tl1 0.500 0.500 0.500
Zn1 0.156 0.156 0.156
Zn2 0.844 0.844 0.844

(2)
Diffraction record for LiZr2Tl. The XRD peak list is calculated, not measured: it uses DFT lattice parameters and positions (GGA-PBE) and copper Kα.

Peak list (10 most intense, 10 to 80 degrees two-theta, low angle first)
d [Å], Position (°2θ), I (rel.)
8.207, 10.78, 317
4.103, 21.66, 214
3.260, 27.36, 250
3.030, 29.48, 313
2.553, 35.16, 1000
2.305, 39.07, 397
2.010, 45.11, 129
1.630, 56.45, 135
1.533, 60.40, 172
1.374, 68.27, 286

a = 3.260 Å, b = 3.260 Å, c = 8.207 Å
α = 90.00°, β = 90.00°, γ = 90.00°
Sites, in units of the cell vectors:
Li1 0.000 0.000 0.000
Zr1 0.000 0.000 0.478
Zr2 0.500 0.500 0.735
Tl1 0.500 0.500 0.194

(3)
Diffraction record for LiTm2. The XRD peak list is calculated, not measured: it uses DFT lattice parameters and positions (GGA-PBE) and copper Kα.

Peak list (10 most intense, 10 to 80 degrees two-theta, low angle first)
d [Å], Position (°2θ), I (rel.)
6.183, 14.33, 234
3.441, 25.89, 571
3.091, 28.88, 184
2.704, 33.13, 1000
2.534, 35.43, 438
1.960, 46.33, 204
1.791, 50.98, 157
1.599, 57.66, 179
1.584, 58.23, 146
1.493, 62.15, 331

a = 6.682 Å, b = 6.682 Å, c = 6.682 Å
α = 148.90°, β = 148.90°, γ = 44.56°
Sites, in units of the cell vectors:
Li1 0.000 0.000 0.000
Tm1 0.345 0.345 0.000
Tm2 0.655 0.655 0.000

(4)
Diffraction record for LiYTm. The XRD peak list is calculated, not measured: it uses DFT lattice parameters and positions (GGA-PBE) and copper Kα.

Peak list (10 most intense, 10 to 80 degrees two-theta, low angle first)
d [Å], Position (°2θ), I (rel.)
8.079, 10.95, 759
3.232, 27.60, 184
3.022, 29.56, 221
2.830, 31.61, 1000
2.693, 33.27, 189
2.635, 34.02, 226
2.420, 37.16, 615
1.834, 49.70, 173
1.745, 52.45, 216
1.464, 63.54, 173

a = 3.489 Å, b = 3.489 Å, c = 16.159 Å
α = 90.04°, β = 90.04°, γ = 59.98°
Sites, in units of the cell vectors:
Li1 0.167 0.167 0.431
Li2 0.833 0.833 0.569
Y1 0.167 0.167 0.092
Y2 0.833 0.833 0.908
Tm1 0.500 0.500 0.267
Tm2 0.500 0.500 0.733

(5)
Diffraction record for LiU4. The XRD peak list is calculated, not measured: it uses DFT lattice parameters and positions (GGA-PBE) and copper Kα.

Peak list (5 most intense, 10 to 80 degrees two-theta, low angle first)
d [Å], Position (°2θ), I (rel.)
2.748, 32.59, 1000
2.379, 37.81, 519
1.683, 54.54, 370
1.435, 65.00, 438
1.374, 68.27, 130

a = 4.759 Å, b = 4.759 Å, c = 4.759 Å
α = 90.00°, β = 90.00°, γ = 90.00°
Sites, in units of the cell vectors:
Li1 0.000 0.000 0.000
U1 0.000 0.000 0.500
U2 0.000 0.500 0.000
U3 0.500 0.000 0.000
U4 0.500 0.500 0.500

(6)
Diffraction record for LiV. The XRD peak list is calculated, not measured: it uses DFT lattice parameters and positions (GGA-PBE) and copper Kα.

Peak list (10 most intense, 10 to 80 degrees two-theta, low angle first)
d [Å], Position (°2θ), I (rel.)
4.505, 19.71, 1000
2.785, 32.14, 132
2.569, 34.93, 111
2.321, 38.80, 144
2.252, 40.03, 148
2.209, 40.85, 157
2.080, 43.52, 303
1.914, 47.51, 113
1.899, 47.90, 98
1.864, 48.87, 85

a = 5.416 Å, b = 5.416 Å, c = 8.112 Å
α = 90.00°, β = 90.00°, γ = 90.00°
Sites, in units of the cell vectors:
Li1 0.016 0.197 0.366
Li2 0.197 0.016 0.634
Li3 0.303 0.516 0.616
Li4 0.484 0.697 0.884
Li5 0.516 0.303 0.384
Li6 0.697 0.484 0.116
Li7 0.803 0.984 0.134
Li8 0.984 0.803 0.866
V1 0.105 0.307 0.925
V2 0.193 0.605 0.175
V3 0.307 0.105 0.075
V4 0.395 0.807 0.325
V5 0.605 0.193 0.825
V6 0.693 0.895 0.575
V7 0.807 0.395 0.675
V8 0.895 0.693 0.425

(7)
Diffraction record for LiVZn4. The XRD peak list is calculated, not measured: it uses DFT lattice parameters and positions (GGA-PBE) and copper Kα.

Peak list (10 most intense, 10 to 80 degrees two-theta, low angle first)
d [Å], Position (°2θ), I (rel.)
4.141, 21.46, 658
3.586, 24.83, 60
2.536, 35.39, 72
2.163, 41.77, 1000
2.071, 43.72, 718
1.793, 50.92, 217
1.646, 55.87, 143
1.380, 67.90, 286
1.268, 74.89, 271
1.212, 78.96, 98

a = 5.072 Å, b = 5.072 Å, c = 5.072 Å
α = 60.00°, β = 60.00°, γ = 60.00°
Sites, in units of the cell vectors:
Li1 0.000 0.000 0.000
V1 0.750 0.750 0.750
Zn1 0.375 0.375 0.375
Zn2 0.375 0.375 0.874
Zn3 0.375 0.874 0.375
Zn4 0.874 0.375 0.375

(8)
Diffraction record for Li2ZrV. The XRD peak list is calculated, not measured: it uses DFT lattice parameters and positions (GGA-PBE) and copper Kα.

Peak list (10 most intense, 10 to 80 degrees two-theta, low angle first)
d [Å], Position (°2θ), I (rel.)
3.667, 24.27, 193
3.176, 28.10, 1000
2.246, 40.16, 982
1.915, 47.48, 100
1.834, 49.73, 256
1.588, 58.09, 158
1.457, 63.89, 43
1.420, 65.75, 315
1.296, 72.97, 307
1.222, 78.20, 32

a = 4.491 Å, b = 4.491 Å, c = 4.491 Å
α = 60.00°, β = 60.00°, γ = 60.00°
Sites, in units of the cell vectors:
Li1 0.250 0.250 0.250
Li2 0.750 0.750 0.750
Zr1 0.000 0.000 0.000
V1 0.500 0.500 0.500

(9)
Diffraction record for LiW4. The XRD peak list is calculated, not measured: it uses DFT lattice parameters and positions (GGA-PBE) and copper Kα.

Peak list (10 most intense, 10 to 80 degrees two-theta, low angle first)
d [Å], Position (°2θ), I (rel.)
5.696, 15.56, 701
3.931, 22.62, 763
2.813, 31.81, 245
2.628, 34.12, 628
2.094, 43.20, 554
2.053, 44.12, 1000
1.965, 46.19, 183
1.848, 49.31, 195
1.481, 62.75, 185
1.201, 79.88, 361

a = 6.419 Å, b = 6.419 Å, c = 6.419 Å
α = 141.92°, β = 141.92°, γ = 54.95°
Sites, in units of the cell vectors:
Li1 0.000 0.000 0.000
W1 0.250 0.750 0.500
W2 0.382 0.382 0.000
W3 0.618 0.618 0.000
W4 0.750 0.250 0.500

(10)
Diffraction record for Li5W3. The XRD peak list is calculated, not measured: it uses DFT lattice parameters and positions (GGA-PBE) and copper Kα.

Peak list (10 most intense, 10 to 80 degrees two-theta, low angle first)
d [Å], Position (°2θ), I (rel.)
5.505, 16.10, 1000
3.981, 22.33, 630
2.826, 31.66, 306
2.506, 35.83, 152
2.305, 39.08, 420
2.108, 42.90, 134
2.098, 43.11, 454
1.969, 46.11, 142
1.863, 48.89, 160
1.682, 54.54, 221

a = 5.510 Å, b = 5.510 Å, c = 4.216 Å
α = 90.00°, β = 90.00°, γ = 92.53°
Sites, in units of the cell vectors:
Li1 0.000 0.000 0.000
Li2 0.000 0.500 0.000
Li3 0.208 0.792 0.500
Li4 0.500 0.000 0.000
Li5 0.792 0.208 0.500
W1 0.318 0.318 0.500
W2 0.500 0.500 0.000
W3 0.682 0.682 0.500

(11)
Diffraction record for LiZn2W. The XRD peak list is calculated, not measured: it uses DFT lattice parameters and positions (GGA-PBE) and copper Kα.

Peak list (10 most intense, 10 to 80 degrees two-theta, low angle first)
d [Å], Position (°2θ), I (rel.)
7.344, 12.05, 1000
2.598, 34.52, 510
2.448, 36.71, 150
2.215, 40.73, 911
1.964, 46.22, 325
1.897, 47.94, 137
1.836, 49.65, 195
1.532, 60.43, 152
1.341, 70.17, 164
1.298, 72.84, 108

a = 2.778 Å, b = 2.778 Å, c = 7.344 Å
α = 90.00°, β = 90.00°, γ = 90.00°
Sites, in units of the cell vectors:
Li1 0.000 0.000 0.000
Zn1 0.500 0.500 0.230
Zn2 0.500 0.500 0.770
W1 0.000 0.000 0.500

(12)
Diffraction record for Li2ZrW. The XRD peak list is calculated, not measured: it uses DFT lattice parameters and positions (GGA-PBE) and copper Kα.

Peak list (10 most intense, 10 to 80 degrees two-theta, low angle first)
d [Å], Position (°2θ), I (rel.)
5.194, 17.07, 1000
2.597, 34.54, 205
2.581, 34.75, 174
2.490, 36.07, 157
2.312, 38.96, 293
2.245, 40.16, 270
2.221, 40.61, 131
2.042, 44.35, 176
1.831, 49.80, 126
1.797, 50.80, 118

a = 2.657 Å, b = 5.194 Å, c = 5.215 Å
α = 90.00°, β = 98.08°, γ = 90.00°
Sites, in units of the cell vectors:
Li1 0.246 0.000 0.227
Li2 0.754 0.000 0.773
Zr1 0.000 0.500 0.500
W1 0.500 0.500 0.000

(13)
Diffraction record for LiZrW2. The XRD peak list is calculated, not measured: it uses DFT lattice parameters and positions (GGA-PBE) and copper Kα.

Peak list (10 most intense, 10 to 80 degrees two-theta, low angle first)
d [Å], Position (°2θ), I (rel.)
4.889, 18.14, 1000
4.567, 19.44, 206
2.582, 34.75, 254
2.445, 36.76, 543
2.283, 39.46, 893
2.256, 39.97, 431
2.237, 40.31, 842
2.048, 44.22, 216
1.658, 55.42, 334
1.368, 68.62, 206

a = 5.619 Å, b = 5.619 Å, c = 2.699 Å
α = 100.28°, β = 100.28°, γ = 120.93°
Sites, in units of the cell vectors:
Li1 0.000 0.000 0.000
Zr1 0.500 0.500 0.000
W1 0.000 0.500 0.500
W2 0.500 0.000 0.500

(14)
Diffraction record for LiYZn10. The XRD peak list is calculated, not measured: it uses DFT lattice parameters and positions (GGA-PBE) and copper Kα.

Peak list (10 most intense, 10 to 80 degrees two-theta, low angle first)
d [Å], Position (°2θ), I (rel.)
4.557, 19.48, 244
4.483, 19.80, 391
2.279, 39.55, 174
2.242, 40.23, 262
2.236, 40.34, 1000
2.210, 40.84, 506
2.153, 41.97, 560
2.014, 45.01, 258
1.988, 45.63, 637
1.412, 66.19, 209

a = 4.306 Å, b = 5.149 Å, c = 9.114 Å
α = 90.00°, β = 90.00°, γ = 90.00°
Sites, in units of the cell vectors:
Li1 0.000 0.000 0.000
Y1 0.000 0.500 0.500
Zn1 0.000 0.000 0.312
Zn2 0.000 0.000 0.688
Zn3 0.000 0.500 0.155
Zn4 0.000 0.500 0.845
Zn5 0.500 0.000 0.500
Zn6 0.500 0.256 0.258
Zn7 0.500 0.256 0.742
Zn8 0.500 0.500 0.000
Zn9 0.500 0.744 0.258
Zn10 0.500 0.744 0.742

(15)
Diffraction record for LiY2Zn. The XRD peak list is calculated, not measured: it uses DFT lattice parameters and positions (GGA-PBE) and copper Kα.

Peak list (10 most intense, 10 to 80 degrees two-theta, low angle first)
d [Å], Position (°2θ), I (rel.)
7.205, 12.28, 159
3.669, 24.26, 102
3.270, 27.28, 509
2.594, 34.57, 616
2.571, 34.90, 1000
2.402, 37.45, 101
1.835, 49.70, 214
1.762, 51.88, 154
1.600, 57.61, 118
1.493, 62.16, 354

a = 3.669 Å, b = 3.669 Å, c = 7.205 Å
α = 90.00°, β = 90.00°, γ = 90.00°
Sites, in units of the cell vectors:
Li1 0.000 0.000 0.000
Y1 0.000 0.000 0.587
Y2 0.500 0.500 0.262
Zn1 0.500 0.500 0.820